# 1
Diffraction record for La2NiP2O. The X-ray diffraction stick pattern is calculated, not measured: it uses a structure optimized by DFT (PBE+U) and Cu Kα (λ = 1.5418 Å).

Main lines, by angle (15 to 90 degrees two-theta):
2θ = 18.59°, rel. 39, hkl 0 0 3; 2θ = 26.45°, rel. 100, hkl 1 0 0; 2θ = 32.52°, rel. 40, hkl 1 0 3; 2θ = 37.74°, rel. 50, hkl 1 1 0; 2θ = 46.63°, rel. 26, hkl 1 0 6; 2θ = 54.43°, rel. 29, hkl 2 0 0

Atomic structure:
```
data_La2NiP2O
_chemical_formula_sum 'La2 Ni1 P2 O1'
_symmetry_space_group_name_H-M 'P 4/m m m'
_symmetry_Int_Tables_number 123
_symmetry_space_group_name_Hall '-P 4 2'
_cell_length_a 3.3699
_cell_length_b 3.3699
_cell_length_c 14.3212
_cell_angle_alpha 90.00
_cell_angle_beta 90.00
_cell_angle_gamma 90.00
loop_
_atom_site_label
_atom_site_fract_x
_atom_site_fract_y
_atom_site_fract_z
_atom_site_occupancy
La1 0.0000 0.0000 0.1480 1
Ni1 0.0000 0.0000 0.5000 1
P1 0.0000 0.0000 0.3535 1
O1 0.0000 0.0000 0.0000 1
```

---

# 2
Diffraction record for CaMnO2. The X-ray diffraction stick pattern is calculated, not measured: it uses a structure optimized by DFT (PBE+U) and Cu Kα (λ = 1.5418 Å).

Main lines, by angle (15 to 90 degrees two-theta):
2θ = 33.15°, rel. 56, hkl 1 0 -3; 2θ = 33.39°, rel. 18, hkl 3 0 -1; 2θ = 38.45°, rel. 100, hkl 2 1 -2; 2θ = 38.69°, rel. 48, hkl 2 0 2; 2θ = 55.56°, rel. 29, hkl 0 1 4; 2θ = 55.83°, rel. 28, hkl 4 1 0

Atomic structure:
```
data_CaMnO2
_chemical_formula_sum 'Ca4 Mn4 O8'
_symmetry_space_group_name_H-M 'P 1 21/m 1'
_symmetry_Int_Tables_number 11
_cell_length_a 8.0512
_cell_length_b 3.3228
_cell_length_c 8.0990
_cell_angle_alpha 90.00
_cell_angle_beta 109.61
_cell_angle_gamma 90.00
loop_
_symmetry_equiv_pos_as_xyz
'x,y,z'
'-x,-y,-z'
'-x,y+1/2,-z'
'x,-y+1/2,z'
loop_
_atom_site_label
_atom_site_fract_x
_atom_site_fract_y
_atom_site_fract_z
_atom_site_occupancy
Ca1 0.0651 0.2500 0.1868 1
Ca2 0.1980 0.7500 0.5694 1
Mn1 0.3180 0.2500 0.9419 1
Mn2 0.4369 0.7500 0.3109 1
O1 0.0669 0.2500 0.6919 1
O2 0.1982 0.7500 0.0623 1
O3 0.3249 0.2500 0.4373 1
O4 0.4456 0.7500 0.8196 1
```

---

# 3
Diffraction record for MgTi3Fe2CoP6O24. The X-ray diffraction stick pattern is calculated, not measured: it uses a structure optimized by DFT (PBE+U) and Cu Kα (λ = 1.5418 Å).

Main lines, by angle (15 to 90 degrees two-theta):
2θ = 20.31°, rel. 100, hkl 0 1 -1; 2θ = 23.83°, rel. 45, hkl 0 1 2; 2θ = 23.94°, rel. 84, hkl 2 0 1; 2θ = 35.53°, rel. 29, hkl -2 1 1; 2θ = 46.72°, rel. 22, hkl 4 1 3; 2θ = 55.60°, rel. 17, hkl 1 2 -3

Atomic structure:
```
data_MgTi3Fe2CoP6O24
_chemical_formula_sum 'Mg1 Ti3 Fe2 Co1 P6 O24'
_symmetry_space_group_name_H-M 'P 1'
_symmetry_Int_Tables_number 1
_cell_length_a 8.6794
_cell_length_b 8.7165
_cell_length_c 8.7238
_cell_angle_alpha 60.15
_cell_angle_beta 60.45
_cell_angle_gamma 60.33
loop_
_symmetry_equiv_pos_as_xyz
'x,y,z'
loop_
_atom_site_label
_atom_site_fract_x
_atom_site_fract_y
_atom_site_fract_z
_atom_site_occupancy
Mg1 0.0000 0.0000 0.0000 1
Ti1 0.2413 0.2408 0.2394 1
Ti2 0.5197 0.5189 0.5166 1
Ti3 0.7274 0.7236 0.7232 1
Fe1 0.3768 0.3777 0.3751 1
Fe2 0.8715 0.8660 0.8648 1
Co1 0.1268 0.1194 0.1127 1
P1 0.1216 0.8226 0.4180 1
P2 0.3297 0.6228 0.9083 1
P3 0.4250 0.1206 0.8190 1
P4 0.6238 0.9110 0.3272 1
P5 0.8231 0.4181 0.1203 1
P6 0.9138 0.3292 0.6206 1
O1 0.0657 0.8724 0.2519 1
O2 0.1128 0.3225 0.4661 1
O3 0.1341 0.7724 0.9141 1
O4 0.1802 0.9892 0.3690 1
O5 0.2578 0.0652 0.8677 1
O6 0.2829 0.6305 0.4375 1
O7 0.3195 0.4686 0.1075 1
O8 0.3759 0.1791 0.9850 1
O9 0.3893 0.5367 0.7619 1
O10 0.4427 0.2822 0.6281 1
O11 0.4685 0.1098 0.3183 1
O12 0.4807 0.6987 0.8606 1
O13 0.5362 0.7647 0.3871 1
O14 0.6157 0.9586 0.8062 1
O15 0.6308 0.4384 0.2801 1
O16 0.6993 0.8621 0.4789 1
O17 0.7667 0.3901 0.5330 1
O18 0.7726 0.9173 0.1332 1
O19 0.8112 0.6084 0.9575 1
O20 0.8646 0.4793 0.6975 1
O21 0.8713 0.2514 0.0668 1
O22 0.9195 0.1345 0.7698 1
O23 0.9612 0.8068 0.6088 1
O24 0.9899 0.3682 0.1800 1
```

---

# 4
Diffraction record for Zn2Ni9O13. The X-ray diffraction stick pattern is calculated, not measured: it uses a structure optimized by DFT (PBE+U) and Cu Kα (λ = 1.5418 Å).

Main lines, by angle (15 to 90 degrees two-theta):
2θ = 35.45°, rel. 80, hkl 2 0 -6; 2θ = 35.65°, rel. 100, hkl 2 0 5; 2θ = 36.81°, rel. 43, hkl 4 0 -1; 2θ = 42.86°, rel. 40, hkl 3 1 1; 2θ = 43.51°, rel. 65, hkl 3 1 -3; 2θ = 44.57°, rel. 42, hkl 3 1 2

Atomic structure:
```
data_Zn2Ni9O13
_chemical_formula_sum 'Zn4 Ni18 O26'
_symmetry_space_group_name_H-M 'C 1 2/m 1'
_symmetry_Int_Tables_number 12
_cell_length_a 9.7676
_cell_length_b 2.9090
_cell_length_c 16.4199
_cell_angle_alpha 90.00
_cell_angle_beta 98.96
_cell_angle_gamma 90.00
loop_
_symmetry_equiv_pos_as_xyz
'x,y,z'
'-x,-y,-z'
'-x,y,-z'
'x,-y,z'
'x+1/2,y+1/2,z'
'-x+1/2,-y+1/2,-z'
'-x+1/2,y+1/2,-z'
'x+1/2,-y+1/2,z'
loop_
_atom_site_label
_atom_site_fract_x
_atom_site_fract_y
_atom_site_fract_z
_atom_site_occupancy
Zn1 0.2162 0.0000 0.2291 1
Ni1 0.0000 0.5000 0.5000 1
Ni2 0.0065 0.0000 0.6655 1
Ni3 0.0637 0.0000 0.8764 1
Ni4 0.1465 0.5000 0.0410 1
Ni5 0.2492 0.0000 0.5813 1
O1 0.0000 0.0000 0.0000 1
O2 0.0839 0.5000 0.1470 1
O3 0.1158 0.5000 0.6115 1
O4 0.1266 0.5000 0.3107 1
O5 0.1287 0.0000 0.4627 1
O6 0.1391 0.0000 0.7710 1
O7 0.2039 0.5000 0.9299 1
```

---

Repeat the second record exactly.
Diffraction record for CaMnO2. The X-ray diffraction stick pattern is calculated, not measured: it uses a structure optimized by DFT (PBE+U) and Cu Kα (λ = 1.5418 Å).

Main lines, by angle (15 to 90 degrees two-theta):
2θ = 33.15°, rel. 56, hkl 1 0 -3; 2θ = 33.39°, rel. 18, hkl 3 0 -1; 2θ = 38.45°, rel. 100, hkl 2 1 -2; 2θ = 38.69°, rel. 48, hkl 2 0 2; 2θ = 55.56°, rel. 29, hkl 0 1 4; 2θ = 55.83°, rel. 28, hkl 4 1 0

Atomic structure:
```
data_CaMnO2
_chemical_formula_sum 'Ca4 Mn4 O8'
_symmetry_space_group_name_H-M 'P 1 21/m 1'
_symmetry_Int_Tables_number 11
_cell_length_a 8.0512
_cell_length_b 3.3228
_cell_length_c 8.0990
_cell_angle_alpha 90.00
_cell_angle_beta 109.61
_cell_angle_gamma 90.00
loop_
_symmetry_equiv_pos_as_xyz
'x,y,z'
'-x,-y,-z'
'-x,y+1/2,-z'
'x,-y+1/2,z'
loop_
_atom_site_label
_atom_site_fract_x
_atom_site_fract_y
_atom_site_fract_z
_atom_site_occupancy
Ca1 0.0651 0.2500 0.1868 1
Ca2 0.1980 0.7500 0.5694 1
Mn1 0.3180 0.2500 0.9419 1
Mn2 0.4369 0.7500 0.3109 1
O1 0.0669 0.2500 0.6919 1
O2 0.1982 0.7500 0.0623 1
O3 0.3249 0.2500 0.4373 1
O4 0.4456 0.7500 0.8196 1
```